Entry 1:
# Cs3Na6Tl
Theoretical XRD peak list, Cu Kα. Input: a crystal structure in Alexandria, relaxed with PBE.
No peak broadening, texture or thermal motion is included.

Structural model:
abc: 13.8109 13.8109 20.2692
angles: 90.00 90.00 120.00
Space group R-3m (No. 166, hexagonal axes)
Symmetry-distinct sites (fractional):
Cs (0.0752, 0.5376, 0.3732) x18
Na (0.0794, 0.5397, 0.1144) x18
Na (0.0883, 0.1765, 0.1172) x18
Tl (0.0000, 0.0000, 0.0000) x3
Tl (0.0000, 0.0000, 0.5000) x3

Most intense lines, 10 to 90 degrees two-theta, by angle:
2theta, I/Imax
12.82, 21
19.02, 41
20.12, 31
21.52, 100
25.80, 31
25.95, 43
26.42, 53
37.26, 29
38.62, 39
39.14, 23

***

Entry 2:
# PmHoCuNi
Theoretical XRD peak list, Cu Kα. Input: a crystal structure in Alexandria, relaxed with PBE.
No peak broadening, texture or thermal motion is included.

Structural model:
abc: 4.4275 3.7576 10.3238
angles: 90.00 90.00 90.00
Space group Amm2 (No. 38)
Symmetry-distinct sites (fractional):
Pm (0.0000, 0.0000, 0.0000) x2
Ho (0.5000, 0.0000, 0.7215) x2
Cu (0.5000, 0.0000, 0.4281) x2
Ni (0.0000, 0.0000, 0.2865) x2

Most intense lines, 10 to 90 degrees two-theta, by angle:
2theta, I/Imax
26.52, 38
32.43, 100
34.76, 24
35.37, 41
40.45, 18
40.76, 30
40.99, 49
48.46, 21
55.05, 23
65.12, 15

***

Entry 3:
# Na4Ga2Ge
Theoretical XRD peak list, Cu Kα. Input: a crystal structure in Alexandria, relaxed with PBE.
No peak broadening, texture or thermal motion is included.

Structural model:
abc: 5.6011 5.6011 14.6014
angles: 90.00 90.00 90.00
Space group I4/mmm (No. 139)
Symmetry-distinct sites (fractional):
Na (0.0000, 0.0000, 0.2000) x4
Na (0.0000, 0.5000, 0.0000) x4
Ga (0.0000, 0.0000, 0.4093) x4
Ge (0.0000, 0.0000, 0.0000) x2

Most intense lines, 10 to 90 degrees two-theta, by angle:
2theta, I/Imax
12.12, 89
22.45, 100
31.96, 85
34.30, 29
34.64, 93
45.82, 30
47.84, 73
51.60, 21
58.69, 19
68.42, 31

***

Entry 4:
# Sm2Se3
Theoretical XRD peak list, Cu Kα. Input: a crystal structure in Alexandria, relaxed with PBE.
No peak broadening, texture or thermal motion is included.

Structural model:
abc: 8.8464 8.8464 26.5237
angles: 90.00 90.00 90.00
Space group I-42d (No. 122)
Symmetry-distinct sites (fractional):
Sm (0.0000, 0.0000, 0.1663) x8
Sm (0.1188, 0.7500, 0.6250) x8
Sm (0.1341, 0.7417, 0.9604) x16
Se (0.0708, 0.6758, 0.1833) x16
Se (0.0727, 0.6803, 0.8542) x16
Se (0.0799, 0.6738, 0.5162) x16

Most intense lines, 10 to 90 degrees two-theta, by angle:
2theta, I/Imax
24.66, 23
32.00, 100
38.07, 66
45.88, 22
48.26, 15
50.55, 11
52.78, 18
65.00, 29
68.79, 13
79.66, 19